# LiMnBO3
Calculated powder diffractogram, Cu Ka. Input: a GGA+U-relaxed structure.
No peak broadening, texture or thermal motion is included.

Peak list (6 most intense, 2θ = 10–90°, by intensity)
2θ/deg	I_rel	(hkl)
21.42	100	1 1 0
35.11	85	1 1 1
27.48	60	0 0 1
54.00	42	3 1 1
37.56	38	3 0 0
52.35	36	2 2 1

Structure:
a b c (Å): 8.2948 8.2948 3.2459
angles (deg): 90.00 90.00 120.00
Space group P-6 (No. 174)
One atom of each set of equivalent atoms:
Li1 0.0090 0.7082 0.0000
Mn1 0.3762 0.0043 0.5000
B1 0.0000 0.0000 0.5000
B2 0.3333 0.6667 0.5000
B3 0.6667 0.3333 0.0000
O1 0.1940 0.1039 0.5000
O2 0.1937 0.7125 0.5000
O3 0.5626 0.1402 0.0000